1.
The following is a theoretical powder X-ray diffraction pattern of Rb5Tm3I12. It was derived from a cell relaxed with GGA-PBE, using Cu Kα, 1.54184 Å.
Peak positions follow from Bragg's law for the DFT cell and can differ from measured ones.

Crystal structure
Cell: 15.0961 15.0961 4.5883 Å, 90.00 90.00 120.00°
Sites, in units of the cell vectors:
1 Rb 0.0000 0.7177 0.0000
2 Rb 0.2823 0.2823 0.0000
3 Rb 0.3333 0.6667 0.0000
4 Rb 0.6667 0.3333 0.0000
5 Rb 0.7177 0.0000 0.0000
6 Tm 0.0000 0.3222 0.5000
7 Tm 0.3222 0.0000 0.5000
8 Tm 0.6778 0.6778 0.5000
9 I 0.0000 0.1852 0.0000
10 I 0.0000 0.4573 0.0000
11 I 0.1852 0.0000 0.0000
12 I 0.2079 0.7667 0.5000
13 I 0.2333 0.4412 0.5000
14 I 0.4412 0.2333 0.5000
15 I 0.4573 0.0000 0.0000
16 I 0.5427 0.5427 0.0000
17 I 0.5588 0.7921 0.5000
18 I 0.7667 0.2079 0.5000
19 I 0.7921 0.5588 0.5000
20 I 0.8148 0.8148 0.0000

Largest 12 diffraction maxima, in order of rising 2θ, 5° ≤ 2θ ≤ 70°:
| d [Å] | 2θ/deg | I (rel.) | index |
| --- | --- | --- | --- |
| 7.548 | 11.72 | 740 | 1 1 0 |
| 3.756 | 23.69 | 206 | 2 0 1 |
| 3.626 | 24.55 | 445 | 3 1 0 |
| 3.362 | 26.51 | 1000 | 2 1 1 |
| 3.268 | 27.29 | 312 | 4 0 0 |
| 2.915 | 30.67 | 569 | 2 2 1 |
| 2.846 | 31.44 | 198 | 3 1 1 |
| 2.515 | 35.70 | 284 | 3 3 0 |
| 2.423 | 37.11 | 433 | 4 1 1 |
| 2.294 | 39.27 | 265 | 0 0 2 |
| 2.206 | 40.91 | 390 | 3 3 1 |
| 2.177 | 41.49 | 188 | 6 0 0 |



2.
The following is a theoretical powder X-ray diffraction pattern of Dy5B2C5. It was derived from a cell relaxed with GGA-PBE, using Cu Kα, 1.54184 Å.
Peak positions follow from Bragg's law for the DFT cell and can differ from measured ones.

Crystal structure
Cell: 8.1599 8.1599 10.7668 Å, 90.00 90.00 90.00°
Sites, in units of the cell vectors:
1 Dy 0.0367 0.6566 0.1003
2 Dy 0.0367 0.8434 0.6003
3 Dy 0.1566 0.5367 0.3997
4 Dy 0.1566 0.9633 0.8997
5 Dy 0.2500 0.2500 0.1389
6 Dy 0.2500 0.2500 0.6389
7 Dy 0.3434 0.5367 0.8997
8 Dy 0.3434 0.9633 0.3997
9 Dy 0.4633 0.6566 0.6003
10 Dy 0.4633 0.8434 0.1003
11 Dy 0.5367 0.1566 0.8997
12 Dy 0.5367 0.3434 0.3997
13 Dy 0.6566 0.0367 0.6003
14 Dy 0.6566 0.4633 0.1003
15 Dy 0.7500 0.7500 0.3611
16 Dy 0.7500 0.7500 0.8611
17 Dy 0.8434 0.0367 0.1003
18 Dy 0.8434 0.4633 0.6003
19 Dy 0.9633 0.1566 0.3997
20 Dy 0.9633 0.3434 0.8997
21 B 0.0939 0.5939 0.7500
22 B 0.0939 0.9061 0.2500
23 B 0.4061 0.5939 0.2500
24 B 0.4061 0.9061 0.7500
25 B 0.5939 0.0939 0.2500
26 B 0.5939 0.4061 0.7500
27 B 0.9061 0.0939 0.7500
28 B 0.9061 0.4061 0.2500
29 C 0.0522 0.6481 0.8758
30 C 0.0522 0.8519 0.3758
31 C 0.1481 0.5522 0.6242
32 C 0.1481 0.9478 0.1242
33 C 0.2500 0.2500 0.4030
34 C 0.2500 0.2500 0.9030
35 C 0.3519 0.5522 0.1242
36 C 0.3519 0.9478 0.6242
37 C 0.4478 0.6481 0.3758
38 C 0.4478 0.8519 0.8758
39 C 0.5522 0.1481 0.1242
40 C 0.5522 0.3519 0.6242
41 C 0.6481 0.0522 0.3758
42 C 0.6481 0.4478 0.8758
43 C 0.7500 0.7500 0.0970
44 C 0.7500 0.7500 0.5970
45 C 0.8519 0.0522 0.8758
46 C 0.8519 0.4478 0.3758
47 C 0.9478 0.1481 0.6242
48 C 0.9478 0.3519 0.1242

Largest 12 diffraction maxima, in order of rising 2θ, 5° ≤ 2θ ≤ 70°:
| d [Å] | 2θ/deg | I (rel.) | index |
| --- | --- | --- | --- |
| 3.456 | 25.78 | 310 | 2 1 1 |
| 3.021 | 29.57 | 1000 | 2 1 2 |
| 2.692 | 33.29 | 310 | 0 0 4 |
| 2.580 | 34.77 | 319 | 3 1 0 |
| 2.559 | 35.07 | 567 | 2 1 3 |
| 2.509 | 35.78 | 578 | 3 1 1 |
| 1.863 | 48.90 | 166 | 3 1 4 |
| 1.825 | 49.99 | 169 | 4 2 0 |
| 1.799 | 50.75 | 126 | 4 2 1 |
| 1.653 | 55.59 | 243 | 3 1 5 |
| 1.562 | 59.16 | 323 | 5 0 2 |
| 1.510 | 61.39 | 130 | 4 2 4 |



3.
The following is a theoretical powder X-ray diffraction pattern of ZrPbO3. It was derived from a cell relaxed with GGA-PBE, using Cu Kα, 1.54184 Å.
Peak positions follow from Bragg's law for the DFT cell and can differ from measured ones.

Crystal structure
Cell: 4.1764 5.9614 6.1340 Å, 90.00 90.00 90.00°
Sites, in units of the cell vectors:
1 Zr 0.0000 0.0000 0.0000
2 Zr 0.0000 0.5000 0.5000
3 Pb 0.5000 0.0000 0.4381
4 Pb 0.5000 0.5000 0.9381
5 O 0.0000 0.2344 0.2907
6 O 0.0000 0.2656 0.7907
7 O 0.0000 0.7344 0.7907
8 O 0.0000 0.7656 0.2907
9 O 0.5000 0.0000 0.0530
10 O 0.5000 0.5000 0.5530

Largest 12 diffraction maxima, in order of rising 2θ, 5° ≤ 2θ ≤ 70°:
| d [Å] | 2θ/deg | I (rel.) | index |
| --- | --- | --- | --- |
| 4.275 | 20.78 | 166 | 0 1 1 |
| 3.067 | 29.12 | 199 | 0 0 2 |
| 2.986 | 29.92 | 1000 | 0 2 0 |
| 2.472 | 36.34 | 71 | 1 0 2 |
| 2.426 | 37.05 | 76 | 1 2 0 |
| 2.138 | 42.28 | 187 | 0 2 2 |
| 2.088 | 43.33 | 113 | 2 0 0 |
| 1.755 | 52.11 | 155 | 1 1 3 |
| 1.726 | 53.06 | 77 | 2 0 2 |
| 1.722 | 53.18 | 172 | 1 3 1 |
| 1.710 | 53.59 | 83 | 2 2 0 |
| 1.494 | 62.14 | 117 | 2 2 2 |